# 1
The following is a computed X-ray powder pattern of FePO4. It was derived from DFT lattice parameters and positions (PBE+U), using λ = 1.5418 Å (Cu Kα).

Top 12 peaks for 2θ from 5° to 70°, by intensity:
25.09°, rel. 100, (0 1 2)
19.73°, rel. 21, (1 0 0)
47.05°, rel. 13, (1 1 4)
56.41°, rel. 11, (2 1 2)
36.98°, rel. 11, (1 0 4)
40.08°, rel. 11, (2 0 0)
63.60°, rel. 8, (2 0 6)
63.48°, rel. 7, (1 2 4)
34.53°, rel. 7, (1 1 0)
37.98°, rel. 6, (1 1 2)
64.16°, rel. 6, (0 3 2)
51.49°, rel. 4, (0 2 4)

Structural model:
a = 5.195 Å, b = 5.195 Å, c = 11.555 Å
α = 90.00°, β = 90.00°, γ = 120.00°
Atoms (fractional coordinates):
Fe: 0.000 0.466 0.167
Fe: 0.466 0.000 0.833
Fe: 0.534 0.534 0.500
P: 0.000 0.466 0.667
P: 0.466 0.000 0.333
P: 0.534 0.534 0.000
O: 0.116 0.697 0.766
O: 0.166 0.749 0.287
O: 0.251 0.416 0.620
O: 0.303 0.419 0.099
O: 0.416 0.251 0.380
O: 0.419 0.303 0.901
O: 0.581 0.884 0.433
O: 0.584 0.834 0.953
O: 0.697 0.116 0.234
O: 0.749 0.166 0.713
O: 0.834 0.584 0.047
O: 0.884 0.581 0.567

# 2
The following is a computed X-ray powder pattern of FePO4. It was derived from DFT lattice parameters and positions (PBE+U), using λ = 1.5418 Å (Cu Kα).

Top 12 peaks for 2θ from 5° to 70°, by intensity:
20.61°, rel. 100, (2 0 2)
33.77°, rel. 16, (4 0 0)
34.06°, rel. 11, (2 1 4)
39.89°, rel. 6, (4 1 2)
26.07°, rel. 4, (1 1 3)
29.94°, rel. 4, (2 1 3)
53.64°, rel. 4, (4 1 6)
24.68°, rel. 3, (2 0 3)
61.14°, rel. 3, (4 0 8)
60.59°, rel. 3, (6 1 4)
65.63°, rel. 3, (2 0 10)
30.67°, rel. 3, (1 1 4)

Structural model:
a = 10.606 Å, b = 5.315 Å, c = 14.766 Å
α = 90.00°, β = 90.00°, γ = 90.00°
Atoms (fractional coordinates):
Fe: 0.026 0.068 0.000
Fe: 0.224 0.466 0.249
Fe: 0.276 0.466 0.749
Fe: 0.474 0.068 0.500
Fe: 0.526 0.932 0.000
Fe: 0.724 0.534 0.249
Fe: 0.776 0.534 0.749
Fe: 0.974 0.932 0.500
P: 0.027 0.569 0.874
P: 0.224 0.964 0.625
P: 0.276 0.964 0.125
P: 0.473 0.569 0.374
P: 0.527 0.431 0.874
P: 0.724 0.036 0.625
P: 0.776 0.036 0.125
P: 0.973 0.431 0.374
O: 0.002 0.605 0.456
O: 0.002 0.844 0.903
O: 0.058 0.497 0.293
O: 0.085 0.990 0.597
O: 0.167 0.537 0.846
O: 0.192 0.039 0.044
O: 0.247 0.689 0.152
O: 0.249 0.136 0.708
O: 0.251 0.136 0.208
O: 0.253 0.689 0.652
O: 0.308 0.039 0.544
O: 0.333 0.537 0.346
O: 0.415 0.990 0.097
O: 0.442 0.497 0.793
O: 0.498 0.605 0.956
O: 0.498 0.844 0.403
O: 0.502 0.156 0.903
O: 0.502 0.395 0.456
O: 0.558 0.503 0.293
O: 0.585 0.010 0.597
O: 0.667 0.463 0.846
O: 0.692 0.961 0.044
O: 0.747 0.311 0.152
O: 0.749 0.864 0.708
O: 0.751 0.864 0.208
O: 0.753 0.311 0.652
O: 0.808 0.961 0.544
O: 0.833 0.463 0.346
O: 0.915 0.010 0.097
O: 0.942 0.503 0.793
O: 0.998 0.156 0.403
O: 0.998 0.395 0.956